For Pr3NdDy8, the GGA-PBE geometry in Alexandria gives the theoretical powder XRD pattern in this record (Cu Kα X-rays).
Peak positions follow from Bragg's law for the DFT cell and can differ from measured ones.

Crystal structure
```
data_Pr3NdDy8
_chemical_formula_sum 'Pr3 Nd1 Dy8'
_symmetry_space_group_name_H-M 'P 1'
_symmetry_Int_Tables_number 1
_cell_length_a 8.741
_cell_length_b 8.741
_cell_length_c 8.741
_cell_angle_alpha 136.61
_cell_angle_beta 98.06
_cell_angle_gamma 97.64
loop_
_symmetry_equiv_pos_as_xyz
'x,y,z'
loop_
_atom_site_label
_atom_site_type_symbol
_atom_site_fract_x
_atom_site_fract_y
_atom_site_fract_z
Pr1 Pr 0.000 0.000 0.000
Pr2 Pr 0.251 0.751 0.500
Pr3 Pr 0.749 0.249 0.500
Nd1 Nd 0.500 0.500 0.000
Dy1 Dy 0.079 0.250 0.829
Dy2 Dy 0.251 0.250 0.501
Dy3 Dy 0.251 0.750 0.002
Dy4 Dy 0.422 0.250 0.171
Dy5 Dy 0.578 0.750 0.829
Dy6 Dy 0.749 0.250 0.998
Dy7 Dy 0.749 0.750 0.499
Dy8 Dy 0.921 0.750 0.171
```

Peak list (10 most intense, 2θ = 10–80°, in order of rising 2θ)
2theta  intensity
27.1  20
31.1  60
31.3  100
31.8  78
35.0  25
35.5  49
45.1  22
51.2  25
55.9  23
65.4  29

---

For Pr5Nd12Dy, the GGA-PBE geometry in Alexandria gives the theoretical powder XRD pattern in this record (Cu Kα X-rays).
Peak positions follow from Bragg's law for the DFT cell and can differ from measured ones.

Crystal structure
```
data_Pr5Nd12Dy
_chemical_formula_sum 'Pr5 Nd12 Dy1'
_symmetry_space_group_name_H-M 'P 1'
_symmetry_Int_Tables_number 1
_cell_length_a 11.047
_cell_length_b 11.047
_cell_length_c 5.210
_cell_angle_alpha 90.00
_cell_angle_beta 90.00
_cell_angle_gamma 90.06
loop_
_symmetry_equiv_pos_as_xyz
'x,y,z'
loop_
_atom_site_label
_atom_site_type_symbol
_atom_site_fract_x
_atom_site_fract_y
_atom_site_fract_z
Pr1 Pr 0.000 0.000 0.000
Pr2 Pr 0.167 0.167 0.500
Pr3 Pr 0.335 0.335 0.000
Pr4 Pr 0.665 0.665 0.000
Pr5 Pr 0.833 0.833 0.500
Nd1 Nd 0.001 0.666 0.000
Nd2 Nd 0.168 0.500 0.500
Nd3 Nd 0.168 0.832 0.500
Nd4 Nd 0.334 0.666 0.000
Nd5 Nd 0.334 0.999 0.000
Nd6 Nd 0.500 0.168 0.500
Nd7 Nd 0.500 0.832 0.500
Nd8 Nd 0.666 0.001 0.000
Nd9 Nd 0.666 0.334 0.000
Nd10 Nd 0.832 0.168 0.500
Nd11 Nd 0.832 0.500 0.500
Nd12 Nd 0.999 0.334 0.000
Dy1 Dy 0.500 0.500 0.500
```

Peak list (6 most intense, 2θ = 10–80°, in order of rising 2θ)
2theta  intensity
29.7  100
34.4  51
49.5  36
58.8  43
61.7  13
72.6  6

---

For Pr5Nd2Dy4, the GGA-PBE geometry in Alexandria gives the theoretical powder XRD pattern in this record (Cu Kα X-rays).
Peak positions follow from Bragg's law for the DFT cell and can differ from measured ones.

Crystal structure
```
data_Pr5Nd2Dy4
_chemical_formula_sum 'Pr5 Nd2 Dy4'
_symmetry_space_group_name_H-M 'P 1'
_symmetry_Int_Tables_number 1
_cell_length_a 9.175
_cell_length_b 9.175
_cell_length_c 11.802
_cell_angle_alpha 93.87
_cell_angle_beta 93.87
_cell_angle_gamma 22.50
loop_
_symmetry_equiv_pos_as_xyz
'x,y,z'
loop_
_atom_site_label
_atom_site_type_symbol
_atom_site_fract_x
_atom_site_fract_y
_atom_site_fract_z
Pr1 Pr 0.000 0.000 0.000
Pr2 Pr 0.324 0.324 0.929
Pr3 Pr 0.404 0.404 0.464
Pr4 Pr 0.596 0.596 0.536
Pr5 Pr 0.676 0.676 0.071
Nd1 Nd 0.217 0.217 0.352
Nd2 Nd 0.783 0.783 0.648
Dy1 Dy 0.140 0.140 0.798
Dy2 Dy 0.467 0.467 0.741
Dy3 Dy 0.533 0.533 0.259
Dy4 Dy 0.860 0.860 0.202
```

Peak list (10 most intense, 2θ = 10–80°, in order of rising 2θ)
2theta  intensity
29.4  24
29.8  24
30.3  93
31.3  100
32.4  39
33.4  26
46.7  15
54.5  19
60.5  18
61.1  30

---

For PrNd4Dy6, the GGA-PBE geometry in Alexandria gives the theoretical powder XRD pattern in this record (Cu Kα X-rays).
Peak positions follow from Bragg's law for the DFT cell and can differ from measured ones.

Crystal structure
```
data_PrNd4Dy6
_chemical_formula_sum 'Pr1 Nd4 Dy6'
_symmetry_space_group_name_H-M 'P 1'
_symmetry_Int_Tables_number 1
_cell_length_a 11.074
_cell_length_b 11.074
_cell_length_c 3.550
_cell_angle_alpha 90.00
_cell_angle_beta 90.00
_cell_angle_gamma 120.00
loop_
_symmetry_equiv_pos_as_xyz
'x,y,z'
loop_
_atom_site_label
_atom_site_type_symbol
_atom_site_fract_x
_atom_site_fract_y
_atom_site_fract_z
Pr1 Pr 0.000 0.000 0.000
Nd1 Nd 0.333 0.667 0.000
Nd2 Nd 0.396 0.198 0.500
Nd3 Nd 0.802 0.198 0.500
Nd4 Nd 0.802 0.604 0.500
Dy1 Dy 0.007 0.504 0.000
Dy2 Dy 0.170 0.340 0.500
Dy3 Dy 0.170 0.830 0.500
Dy4 Dy 0.496 0.504 0.000
Dy5 Dy 0.496 0.993 0.000
Dy6 Dy 0.660 0.830 0.500
```

Peak list (10 most intense, 2θ = 10–80°, in order of rising 2θ)
2theta  intensity
24.6  19
29.9  16
31.4  98
32.3  100
35.4  25
37.9  15
45.7  28
57.1  36
57.7  13
62.1  31

---

For Pr10Nd4Dy, the GGA-PBE geometry in Alexandria gives the theoretical powder XRD pattern in this record (Cu Kα X-rays).
Peak positions follow from Bragg's law for the DFT cell and can differ from measured ones.

Crystal structure
```
data_Pr10Nd4Dy
_chemical_formula_sum 'Pr10 Nd4 Dy1'
_symmetry_space_group_name_H-M 'P 1'
_symmetry_Int_Tables_number 1
_cell_length_a 9.183
_cell_length_b 9.183
_cell_length_c 9.183
_cell_angle_alpha 101.02
_cell_angle_beta 101.02
_cell_angle_gamma 128.14
loop_
_symmetry_equiv_pos_as_xyz
'x,y,z'
loop_
_atom_site_label
_atom_site_type_symbol
_atom_site_fract_x
_atom_site_fract_y
_atom_site_fract_z
Pr1 Pr 0.001 0.789 0.213
Pr2 Pr 0.211 0.424 0.213
Pr3 Pr 0.211 0.999 0.787
Pr4 Pr 0.250 0.750 0.500
Pr5 Pr 0.424 0.211 0.213
Pr6 Pr 0.576 0.789 0.787
Pr7 Pr 0.750 0.250 0.500
Pr8 Pr 0.789 0.001 0.213
Pr9 Pr 0.789 0.576 0.787
Pr10 Pr 0.999 0.211 0.787
Nd1 Nd 0.272 0.272 0.544
Nd2 Nd 0.272 0.728 0.000
Nd3 Nd 0.728 0.272 0.000
Nd4 Nd 0.728 0.728 0.456
Dy1 Dy 0.500 0.500 0.000
```

Peak list (10 most intense, 2θ = 10–80°, in order of rising 2θ)
2theta  intensity
26.9  44
29.7  46
30.6  100
31.1  97
32.9  38
39.7  42
43.8  28
55.6  35
64.8  31
65.1  29

---

For Pr3Nd5Dy4, the GGA-PBE geometry in Alexandria gives the theoretical powder XRD pattern in this record (Cu Kα X-rays).
Peak positions follow from Bragg's law for the DFT cell and can differ from measured ones.

Crystal structure
```
data_Pr3Nd5Dy4
_chemical_formula_sum 'Pr3 Nd5 Dy4'
_symmetry_space_group_name_H-M 'P 1'
_symmetry_Int_Tables_number 1
_cell_length_a 6.317
_cell_length_b 7.278
_cell_length_c 8.925
_cell_angle_alpha 89.90
_cell_angle_beta 89.96
_cell_angle_gamma 90.00
loop_
_symmetry_equiv_pos_as_xyz
'x,y,z'
loop_
_atom_site_label
_atom_site_type_symbol
_atom_site_fract_x
_atom_site_fract_y
_atom_site_fract_z
Pr1 Pr 0.000 0.000 0.000
Pr2 Pr 0.166 0.748 0.336
Pr3 Pr 0.834 0.252 0.664
Nd1 Nd 0.000 0.500 0.000
Nd2 Nd 0.333 0.000 0.665
Nd3 Nd 0.499 0.253 0.001
Nd4 Nd 0.501 0.747 0.999
Nd5 Nd 0.667 0.000 0.335
Dy1 Dy 0.168 0.253 0.335
Dy2 Dy 0.334 0.500 0.665
Dy3 Dy 0.666 0.500 0.335
Dy4 Dy 0.832 0.747 0.665
```

Peak list (10 most intense, 2θ = 10–80°, in order of rising 2θ)
2theta  intensity
30.0  100
34.8  51
50.1  30
50.1  6
59.5  32
59.6  11
62.4  9
62.5  3
73.5  4
73.6  2

---

For Pr5NdDy, the GGA-PBE geometry in Alexandria gives the theoretical powder XRD pattern in this record (Cu Kα X-rays).
Peak positions follow from Bragg's law for the DFT cell and can differ from measured ones.

Crystal structure
```
data_Pr5NdDy
_chemical_formula_sum 'Pr5 Nd1 Dy1'
_symmetry_space_group_name_H-M 'P 1'
_symmetry_Int_Tables_number 1
_cell_length_a 8.116
_cell_length_b 8.116
_cell_length_c 5.968
_cell_angle_alpha 111.51
_cell_angle_beta 111.51
_cell_angle_gamma 66.33
loop_
_symmetry_equiv_pos_as_xyz
'x,y,z'
loop_
_atom_site_label
_atom_site_type_symbol
_atom_site_fract_x
_atom_site_fract_y
_atom_site_fract_z
Pr1 Pr 0.000 0.000 0.000
Pr2 Pr 0.250 0.250 0.749
Pr3 Pr 0.324 0.676 0.500
Pr4 Pr 0.676 0.324 0.500
Pr5 Pr 0.750 0.750 0.251
Nd1 Nd 0.000 0.000 0.500
Dy1 Dy 0.500 0.500 0.000
```

Peak list (10 most intense, 2θ = 10–80°, in order of rising 2θ)
2theta  intensity
14.5  100
17.9  64
20.0  76
26.1  54
29.2  97
29.9  92
33.4  56
33.8  68
42.4  71
45.3  60

---

For Pr12NdDy5, the GGA-PBE geometry in Alexandria gives the theoretical powder XRD pattern in this record (Cu Kα X-rays).
Peak positions follow from Bragg's law for the DFT cell and can differ from measured ones.

Crystal structure
```
data_Pr12NdDy5
_chemical_formula_sum 'Pr12 Nd1 Dy5'
_symmetry_space_group_name_H-M 'P 1'
_symmetry_Int_Tables_number 1
_cell_length_a 10.993
_cell_length_b 10.993
_cell_length_c 5.194
_cell_angle_alpha 90.00
_cell_angle_beta 90.00
_cell_angle_gamma 90.17
loop_
_symmetry_equiv_pos_as_xyz
'x,y,z'
loop_
_atom_site_label
_atom_site_type_symbol
_atom_site_fract_x
_atom_site_fract_y
_atom_site_fract_z
Pr1 Pr 0.002 0.669 0.500
Pr2 Pr 0.164 0.164 0.000
Pr3 Pr 0.168 0.502 0.000
Pr4 Pr 0.331 0.998 0.500
Pr5 Pr 0.334 0.334 0.500
Pr6 Pr 0.498 0.832 0.000
Pr7 Pr 0.502 0.168 0.000
Pr8 Pr 0.666 0.666 0.500
Pr9 Pr 0.669 0.002 0.500
Pr10 Pr 0.832 0.498 0.000
Pr11 Pr 0.836 0.836 0.000
Pr12 Pr 0.998 0.331 0.500
Nd1 Nd 0.500 0.500 0.000
Dy1 Dy 0.000 0.000 0.500
Dy2 Dy 0.167 0.833 0.000
Dy3 Dy 0.332 0.668 0.500
Dy4 Dy 0.668 0.332 0.500
Dy5 Dy 0.833 0.167 0.000
```

Peak list (10 most intense, 2θ = 10–80°, in order of rising 2θ)
2theta  intensity
11.4  1
29.8  100
34.6  34
34.7  17
49.7  36
59.0  29
59.2  14
62.0  12
72.9  4
73.2  2

---

Copy entry 8 word for word.
For Pr12NdDy5, the GGA-PBE geometry in Alexandria gives the theoretical powder XRD pattern in this record (Cu Kα X-rays).
Peak positions follow from Bragg's law for the DFT cell and can differ from measured ones.

Crystal structure
```
data_Pr12NdDy5
_chemical_formula_sum 'Pr12 Nd1 Dy5'
_symmetry_space_group_name_H-M 'P 1'
_symmetry_Int_Tables_number 1
_cell_length_a 10.993
_cell_length_b 10.993
_cell_length_c 5.194
_cell_angle_alpha 90.00
_cell_angle_beta 90.00
_cell_angle_gamma 90.17
loop_
_symmetry_equiv_pos_as_xyz
'x,y,z'
loop_
_atom_site_label
_atom_site_type_symbol
_atom_site_fract_x
_atom_site_fract_y
_atom_site_fract_z
Pr1 Pr 0.002 0.669 0.500
Pr2 Pr 0.164 0.164 0.000
Pr3 Pr 0.168 0.502 0.000
Pr4 Pr 0.331 0.998 0.500
Pr5 Pr 0.334 0.334 0.500
Pr6 Pr 0.498 0.832 0.000
Pr7 Pr 0.502 0.168 0.000
Pr8 Pr 0.666 0.666 0.500
Pr9 Pr 0.669 0.002 0.500
Pr10 Pr 0.832 0.498 0.000
Pr11 Pr 0.836 0.836 0.000
Pr12 Pr 0.998 0.331 0.500
Nd1 Nd 0.500 0.500 0.000
Dy1 Dy 0.000 0.000 0.500
Dy2 Dy 0.167 0.833 0.000
Dy3 Dy 0.332 0.668 0.500
Dy4 Dy 0.668 0.332 0.500
Dy5 Dy 0.833 0.167 0.000
```

Peak list (10 most intense, 2θ = 10–80°, in order of rising 2θ)
2theta  intensity
11.4  1
29.8  100
34.6  34
34.7  17
49.7  36
59.0  29
59.2  14
62.0  12
72.9  4
73.2  2

---

Please write out number 2 again, unchanged.
For Pr5Nd12Dy, the GGA-PBE geometry in Alexandria gives the theoretical powder XRD pattern in this record (Cu Kα X-rays).
Peak positions follow from Bragg's law for the DFT cell and can differ from measured ones.

Crystal structure
```
data_Pr5Nd12Dy
_chemical_formula_sum 'Pr5 Nd12 Dy1'
_symmetry_space_group_name_H-M 'P 1'
_symmetry_Int_Tables_number 1
_cell_length_a 11.047
_cell_length_b 11.047
_cell_length_c 5.210
_cell_angle_alpha 90.00
_cell_angle_beta 90.00
_cell_angle_gamma 90.06
loop_
_symmetry_equiv_pos_as_xyz
'x,y,z'
loop_
_atom_site_label
_atom_site_type_symbol
_atom_site_fract_x
_atom_site_fract_y
_atom_site_fract_z
Pr1 Pr 0.000 0.000 0.000
Pr2 Pr 0.167 0.167 0.500
Pr3 Pr 0.335 0.335 0.000
Pr4 Pr 0.665 0.665 0.000
Pr5 Pr 0.833 0.833 0.500
Nd1 Nd 0.001 0.666 0.000
Nd2 Nd 0.168 0.500 0.500
Nd3 Nd 0.168 0.832 0.500
Nd4 Nd 0.334 0.666 0.000
Nd5 Nd 0.334 0.999 0.000
Nd6 Nd 0.500 0.168 0.500
Nd7 Nd 0.500 0.832 0.500
Nd8 Nd 0.666 0.001 0.000
Nd9 Nd 0.666 0.334 0.000
Nd10 Nd 0.832 0.168 0.500
Nd11 Nd 0.832 0.500 0.500
Nd12 Nd 0.999 0.334 0.000
Dy1 Dy 0.500 0.500 0.500
```

Peak list (6 most intense, 2θ = 10–80°, in order of rising 2θ)
2theta  intensity
29.7  100
34.4  51
49.5  36
58.8  43
61.7  13
72.6  6